Starting from a structure optimized by DFT (GGA-PBE), the powder XRD pattern of Sm3Ga2Pt7 was simulated for λ = 1.5418 Å (Cu Kα).
Peak positions follow from Bragg's law for the DFT cell and can differ from measured ones.

Structure:
a b c (Å): 14.930 14.930 4.081
angles (deg): 90.00 90.00 164.10
Element x y z (fractional)
Sm: 0.000 0.000 0.000
Sm: 0.202 0.798 0.000
Sm: 0.798 0.202 0.000
Ga: 0.417 0.583 0.500
Ga: 0.583 0.417 0.500
Pt: 0.132 0.868 0.500
Pt: 0.287 0.713 0.500
Pt: 0.367 0.633 0.000
Pt: 0.500 0.500 0.500
Pt: 0.633 0.367 0.000
Pt: 0.713 0.287 0.500
Pt: 0.868 0.132 0.500

Most intense lines, 2θ = 15–90°, by angle:
two_theta	intensity
34.42	100
37.60	62
43.85	30
44.39	30
46.01	31
68.39	20